[1]
Structure and computed XRD peak list of TbDy10Er4 (the GGA-PBE geometry in Alexandria; λ = 1.5418 Å (Cu Kα)).
Lines closer than 0.1° are merged.

Crystal structure
abc: 9.3698 9.3698 9.3698
angles: 99.60 99.60 131.80
Atoms (fractional coordinates):
1 Tb 0.0000 0.0000 0.0000
2 Dy 0.0512 0.1508 0.6997
3 Dy 0.1508 0.4511 0.0996
4 Dy 0.2500 0.7500 0.5000
5 Dy 0.3515 0.0512 0.9004
6 Dy 0.4511 0.3515 0.3003
7 Dy 0.5489 0.6485 0.6997
8 Dy 0.6485 0.9488 0.0996
9 Dy 0.7500 0.2500 0.5000
10 Dy 0.8492 0.5489 0.9004
11 Dy 0.9488 0.8492 0.3003
12 Er 0.1992 0.6001 0.7992
13 Er 0.3999 0.1992 0.5991
14 Er 0.6001 0.8008 0.4009
15 Er 0.8008 0.3999 0.2008

Top 11 peaks for 2θ from 5° to 70°, low angle first:
2theta	I_rel
20.1	26.5
23.3	12.8
33.1	100.0
39.0	14.7
40.9	3.9
47.5	18.3
52.1	6.4
53.6	5.4
59.2	38.2
63.1	4.8
69.5	11.8

[2]
Structure and computed XRD peak list of Tb2DyEr12 (the GGA-PBE geometry in Alexandria; λ = 1.5418 Å (Cu Kα)).
Lines closer than 0.1° are merged.

Crystal structure
abc: 6.6247 6.6247 23.6510
angles: 93.47 93.47 115.69
Atoms (fractional coordinates):
1 Tb 0.2035 0.2035 0.2147
2 Tb 0.2840 0.2840 0.7875
3 Tb 0.7160 0.7160 0.2125
4 Tb 0.7965 0.7965 0.7853
5 Dy 0.2544 0.2544 0.5213
6 Dy 0.7456 0.7456 0.4787
7 Er 0.0118 0.4994 0.7000
8 Er 0.0306 0.0306 0.3625
9 Er 0.0966 0.0966 0.9294
10 Er 0.0990 0.6038 0.9435
11 Er 0.1484 0.5879 0.4350
12 Er 0.2007 0.6892 0.1755
13 Er 0.3108 0.7993 0.8245
14 Er 0.3962 0.9010 0.0565
15 Er 0.4076 0.4076 0.0730
16 Er 0.4121 0.8516 0.5650
17 Er 0.4871 0.4871 0.6565
18 Er 0.4994 0.0118 0.7000
19 Er 0.5006 0.9882 0.3000
20 Er 0.5129 0.5129 0.3435
21 Er 0.5879 0.1484 0.4350
22 Er 0.5924 0.5924 0.9270
23 Er 0.6038 0.0990 0.9435
24 Er 0.6892 0.2007 0.1755
25 Er 0.7993 0.3108 0.8245
26 Er 0.8516 0.4121 0.5650
27 Er 0.9010 0.3962 0.0565
28 Er 0.9034 0.9034 0.0706
29 Er 0.9694 0.9694 0.6375
30 Er 0.9882 0.5006 0.3000

Top 12 peaks for 2θ from 5° to 70°, low angle first:
2theta	I_rel
30.4	37.1
31.0	73.6
31.2	55.4
31.9	100.0
32.4	91.4
33.3	80.3
34.1	38.5
34.5	28.8
44.7	22.9
51.9	20.9
56.4	24.3
62.2	23.8

[3]
Structure and computed XRD peak list of TbDy3Er7 (the GGA-PBE geometry in Alexandria; λ = 1.5418 Å (Cu Kα)).
Lines closer than 0.1° are merged.

Crystal structure
abc: 6.8726 5.4636 9.8342
angles: 90.00 110.13 90.00
Atoms (fractional coordinates):
1 Tb 0.0000 0.0000 0.0000
2 Dy 0.2791 0.5000 0.4987
3 Dy 0.5000 0.0000 0.0000
4 Dy 0.7209 0.5000 0.5013
5 Er 0.0000 0.0000 0.5000
6 Er 0.1468 0.5000 0.7904
7 Er 0.3202 0.5000 0.1407
8 Er 0.4183 0.0000 0.3307
9 Er 0.5817 0.0000 0.6693
10 Er 0.6798 0.5000 0.8593
11 Er 0.8532 0.5000 0.2096

Top 12 peaks for 2θ from 5° to 70°, low angle first:
2theta	I_rel
32.0	22.5
32.1	24.0
32.3	100.0
32.4	15.2
32.6	15.7
32.8	50.7
33.4	52.3
46.8	11.6
53.3	11.7
58.2	18.8
58.9	13.3
64.0	13.5

[4]
Structure and computed XRD peak list of Tb5Dy12Er (the GGA-PBE geometry in Alexandria; λ = 1.5418 Å (Cu Kα)).
Lines closer than 0.1° are merged.

Crystal structure
abc: 10.2808 10.2808 5.9392
angles: 90.02 90.02 114.93
Atoms (fractional coordinates):
1 Tb 0.0000 0.0000 0.0000
2 Tb 0.1664 0.8336 0.5000
3 Tb 0.3336 0.6664 0.0000
4 Tb 0.6664 0.3336 0.0000
5 Tb 0.8336 0.1664 0.5000
6 Dy 0.0067 0.3400 0.0458
7 Dy 0.1610 0.4933 0.5457
8 Dy 0.1742 0.1742 0.4522
9 Dy 0.3268 0.3268 0.9522
10 Dy 0.3400 0.0067 0.0458
11 Dy 0.4933 0.1610 0.5457
12 Dy 0.5067 0.8390 0.4543
13 Dy 0.6600 0.9933 0.9542
14 Dy 0.6732 0.6732 0.0478
15 Dy 0.8258 0.8258 0.5478
16 Dy 0.8390 0.5067 0.4543
17 Dy 0.9933 0.6600 0.9542
18 Er 0.5000 0.5000 0.5000

Top 12 peaks for 2θ from 5° to 70°, low angle first:
2theta	I_rel
30.1	25.9
31.0	30.5
32.5	100.0
34.9	9.4
43.7	18.8
49.5	8.0
55.0	13.9
56.1	21.4
59.0	11.0
59.5	9.2
65.4	4.3
68.1	9.7

[5]
Structure and computed XRD peak list of TbDy3Er3 (the GGA-PBE geometry in Alexandria; λ = 1.5418 Å (Cu Kα)).
Lines closer than 0.1° are merged.

Crystal structure
abc: 9.5015 9.5015 5.6066
angles: 90.00 90.00 120.00
Atoms (fractional coordinates):
1 Tb 0.3333 0.6667 0.2500
2 Tb 0.6667 0.3333 0.7500
3 Dy 0.0481 0.2388 0.2500
4 Dy 0.1907 0.9519 0.2500
5 Dy 0.2388 0.1907 0.7500
6 Dy 0.7612 0.8093 0.2500
7 Dy 0.8093 0.0481 0.7500
8 Dy 0.9519 0.7612 0.7500
9 Er 0.0953 0.4768 0.7500
10 Er 0.3815 0.9047 0.7500
11 Er 0.4768 0.3815 0.2500
12 Er 0.5232 0.6185 0.7500
13 Er 0.6185 0.0953 0.2500
14 Er 0.9047 0.5232 0.2500

Top 11 peaks for 2θ from 5° to 70°, low angle first:
2theta	I_rel
28.7	23.8
31.9	24.1
32.9	100.0
43.5	15.6
50.9	19.8
57.5	20.5
59.4	3.1
61.3	22.6
61.9	16.4
66.7	2.9
69.1	4.0

[6]
Structure and computed XRD peak list of Tb9Dy2Er (the GGA-PBE geometry in Alexandria; λ = 1.5418 Å (Cu Kα)).
Lines closer than 0.1° are merged.

Crystal structure
abc: 11.2010 11.2010 3.4826
angles: 90.00 90.00 120.00
Atoms (fractional coordinates):
1 Tb 0.0000 0.5000 0.0000
2 Tb 0.1750 0.3499 0.5000
3 Tb 0.1750 0.8250 0.5000
4 Tb 0.3499 0.1750 0.5000
5 Tb 0.5000 0.0000 0.0000
6 Tb 0.5000 0.5000 0.0000
7 Tb 0.6501 0.8250 0.5000
8 Tb 0.8250 0.1750 0.5000
9 Tb 0.8250 0.6501 0.5000
10 Dy 0.3333 0.6667 0.0000
11 Dy 0.6667 0.3333 0.0000
12 Er 0.0000 0.0000 0.0000

Top 12 peaks for 2θ from 5° to 70°, low angle first:
2theta	I_rel
30.2	26.6
31.6	52.4
32.0	100.0
35.6	15.2
38.0	15.2
45.6	18.5
50.5	12.3
52.6	8.6
56.7	18.9
57.0	18.3
62.8	29.4
66.8	10.9

[7]
Structure and computed XRD peak list of TbDy2Er5Th (the GGA-PBE geometry in Alexandria; λ = 1.5418 Å (Cu Kα)).
Lines closer than 0.1° are merged.

Crystal structure
abc: 11.0481 11.0481 9.6554
angles: 90.00 90.00 150.33
Atoms (fractional coordinates):
1 Tb 0.1909 0.8091 0.5000
2 Tb 0.8091 0.1909 0.0000
3 Dy 0.1149 0.8851 0.1891
4 Dy 0.1302 0.8698 0.8070
5 Dy 0.8698 0.1302 0.3070
6 Dy 0.8851 0.1149 0.6891
7 Er 0.0143 0.9857 0.4992
8 Er 0.2707 0.7293 0.1918
9 Er 0.3055 0.6945 0.8005
10 Er 0.3978 0.6022 0.4770
11 Er 0.4693 0.5307 0.7767
12 Er 0.5307 0.4693 0.2767
13 Er 0.6022 0.3978 0.9770
14 Er 0.6945 0.3055 0.3005
15 Er 0.7293 0.2707 0.6918
16 Er 0.9857 0.0143 0.9992
17 Th 0.4055 0.5945 0.0952
18 Th 0.5945 0.4055 0.5952

Top 12 peaks for 2θ from 5° to 70°, low angle first:
2theta	I_rel
26.7	21.5
31.6	58.2
32.1	100.0
32.3	60.1
33.4	15.5
34.4	14.8
34.7	31.3
41.9	13.0
54.0	12.9
56.7	32.4
57.8	10.4
64.0	15.6

[8]
Structure and computed XRD peak list of TbDyEr2Th (the GGA-PBE geometry in Alexandria; λ = 1.5418 Å (Cu Kα)).
Lines closer than 0.1° are merged.

Crystal structure
abc: 8.4813 6.3539 6.2778
angles: 90.00 98.10 90.00
Atoms (fractional coordinates):
1 Tb 0.0000 0.0000 0.0000
2 Tb 0.0000 0.0000 0.5000
3 Dy 0.5000 0.1787 0.2500
4 Dy 0.5000 0.8213 0.7500
5 Er 0.3131 0.3080 0.7076
6 Er 0.3131 0.6920 0.2076
7 Er 0.6869 0.3080 0.7924
8 Er 0.6869 0.6920 0.2924
9 Th 0.0000 0.4471 0.2500
10 Th 0.0000 0.5529 0.7500

Top 12 peaks for 2θ from 5° to 70°, low angle first:
2theta	I_rel
21.2	40.3
27.7	59.9
28.7	52.4
30.1	100.0
30.7	79.5
32.0	91.1
32.5	34.5
32.8	45.5
35.1	49.1
35.4	38.4
36.2	31.5
42.8	44.8